[1]
Calculated powder XRD pattern of BaGaRu2O8 for copper Kα, from DFT lattice parameters and positions (PBE).

Cell and atoms:
```
data_BaGaRu2O8
_cell_length_a 5.3655
_cell_length_b 5.3655
_cell_length_c 7.5288
_cell_angle_alpha 90.00
_cell_angle_beta 90.00
_cell_angle_gamma 120.00
_symmetry_space_group_name_H-M 'P -3'
_symmetry_Int_Tables_number 147
_symmetry_space_group_name_Hall '-P 3'
loop_
_atom_site_label
_atom_site_type_symbol
_atom_site_fract_x
_atom_site_fract_y
_atom_site_fract_z
Ba1 Ba 0.0000 0.0000 0.0000
Ga1 Ga 0.0000 0.0000 0.5000
Ru1 Ru 0.3333 0.6667 0.7153
O1 O 0.0365 0.3055 0.6667
O2 O 0.3333 0.6667 0.9546
```

Principal peaks in the range 15° ≤ 2θ ≤ 90°, by angle:
- 2θ = 19.10°, I = 18
- 2θ = 22.48°, I = 100
- 2θ = 30.56°, I = 92
- 2θ = 33.40°, I = 72
- 2θ = 40.64°, I = 16
- 2θ = 45.90°, I = 33
- 2θ = 53.58°, I = 19
- 2θ = 57.94°, I = 33
- 2θ = 59.70°, I = 20
- 2θ = 60.04°, I = 22


[2]
Calculated powder XRD pattern of Ba2GaSbO for copper Kα, from DFT lattice parameters and positions (PBE).

Cell and atoms:
```
data_Ba2GaSbO
_cell_length_a 6.960
_cell_length_b 4.612
_cell_length_c 10.150
_cell_angle_alpha 90.00
_cell_angle_beta 105.64
_cell_angle_gamma 90.00
_symmetry_space_group_name_H-M 'P 1 21/m 1'
_symmetry_Int_Tables_number 11
_symmetry_space_group_name_Hall '-P 2yb'
loop_
_atom_site_label
_atom_site_type_symbol
_atom_site_fract_x
_atom_site_fract_y
_atom_site_fract_z
Ba1 Ba 0.181 0.250 0.407
Ba2 Ba 0.296 0.750 0.088
Ga1 Ga 0.350 0.750 0.674
Sb1 Sb 0.175 0.250 0.789
O1 O 0.372 0.250 0.225
```

Principal peaks in the range 15° ≤ 2θ ≤ 90°, by angle:
- 2θ = 26.43°, I = 26
- 2θ = 26.58°, I = 100
- 2θ = 27.01°, I = 20
- 2θ = 27.93°, I = 20
- 2θ = 33.04°, I = 36
- 2θ = 33.38°, I = 21
- 2θ = 33.67°, I = 25
- 2θ = 34.14°, I = 23
- 2θ = 39.06°, I = 25
- 2θ = 49.04°, I = 14


[3]
Calculated powder XRD pattern of BaGa2SeO for copper Kα, from DFT lattice parameters and positions (PBE).

Cell and atoms:
```
data_BaGa2SeO
_cell_length_a 6.858
_cell_length_b 6.858
_cell_length_c 5.848
_cell_angle_alpha 90.00
_cell_angle_beta 90.00
_cell_angle_gamma 90.00
_symmetry_space_group_name_H-M 'P 4/m m m'
_symmetry_Int_Tables_number 123
_symmetry_space_group_name_Hall '-P 4 2'
loop_
_atom_site_label
_atom_site_type_symbol
_atom_site_fract_x
_atom_site_fract_y
_atom_site_fract_z
Ba1 Ba 0.000 0.000 0.000
Ga1 Ga 0.000 0.500 0.000
Se1 Se 0.000 0.000 0.500
O1 O 0.500 0.500 0.500
```

Principal peaks in the range 15° ≤ 2θ ≤ 90°, by angle:
- 2θ = 15.15°, I = 40
- 2θ = 25.99°, I = 100
- 2θ = 29.12°, I = 40
- 2θ = 30.21°, I = 32
- 2θ = 30.57°, I = 33
- 2θ = 33.31°, I = 28
- 2θ = 37.08°, I = 39
- 2θ = 40.55°, I = 60
- 2θ = 42.73°, I = 28
- 2θ = 48.79°, I = 34


[4]
Calculated powder XRD pattern of BaGaSeO6 for copper Kα, from DFT lattice parameters and positions (PBE).

Cell and atoms:
```
data_BaGaSeO6
_cell_length_a 5.1260
_cell_length_b 5.1260
_cell_length_c 5.7954
_cell_angle_alpha 90.00
_cell_angle_beta 90.00
_cell_angle_gamma 120.00
_symmetry_space_group_name_H-M 'P 3 1 2'
_symmetry_Int_Tables_number 149
_symmetry_space_group_name_Hall 'P 3 2'
loop_
_atom_site_label
_atom_site_type_symbol
_atom_site_fract_x
_atom_site_fract_y
_atom_site_fract_z
Ba1 Ba 0.0000 0.0000 0.0000
Ga1 Ga 0.6667 0.3333 0.5000
Se1 Se 0.3333 0.6667 0.5000
O1 O 0.0257 0.4005 0.6840
```

Principal peaks in the range 15° ≤ 2θ ≤ 90°, by angle:
- 2θ = 25.27°, I = 100
- 2θ = 30.86°, I = 10
- 2θ = 35.01°, I = 26
- 2θ = 43.67°, I = 18
- 2θ = 47.35°, I = 38
- 2θ = 51.60°, I = 11
- 2θ = 57.15°, I = 19
- 2θ = 62.80°, I = 9
- 2θ = 63.88°, I = 9
- 2θ = 74.97°, I = 9


[5]
Calculated powder XRD pattern of BaTb4Ga3O12 for copper Kα, from DFT lattice parameters and positions (PBE).

Cell and atoms:
```
data_BaTb4Ga3O12
_cell_length_a 8.263
_cell_length_b 8.263
_cell_length_c 8.263
_cell_angle_alpha 90.00
_cell_angle_beta 90.00
_cell_angle_gamma 90.00
_symmetry_space_group_name_H-M 'I m -3'
_symmetry_Int_Tables_number 204
_symmetry_space_group_name_Hall '-I 2 2 3'
loop_
_atom_site_label
_atom_site_type_symbol
_atom_site_fract_x
_atom_site_fract_y
_atom_site_fract_z
Ba1 Ba 0.000 0.000 0.000
Tb1 Tb 0.250 0.250 0.250
Ga1 Ga 0.000 0.000 0.500
O1 O 0.000 0.327 0.157
```

Principal peaks in the range 15° ≤ 2θ ≤ 90°, by angle:
- 2θ = 21.51°, I = 10
- 2θ = 30.60°, I = 100
- 2θ = 34.32°, I = 3
- 2θ = 43.83°, I = 21
- 2θ = 49.32°, I = 7
- 2θ = 54.40°, I = 48
- 2θ = 63.71°, I = 12
- 2θ = 72.33°, I = 19
- 2θ = 80.54°, I = 5
- 2θ = 88.57°, I = 21